1.
Calculated X-ray powder pattern
Compound: Tb2Pr4Er5
Radiation: Cu Kα X-rays
Structure: a GGA-PBE-relaxed structure
Neutral-atom scattering factors, no anomalous dispersion.

Top 6 peaks for 2θ = 10–80°, in order of rising 2θ:
hkl, d [Å], two_theta, I_rel
1 1 1, 3.243, 27.50, 58.0
8 0 -1, 2.899, 30.85, 100.0
2 0 -3, 2.863, 31.25, 71.4
6 0 2, 2.845, 31.44, 69.6
5 1 1, 2.678, 33.46, 96.0
3 1 -2, 2.636, 34.02, 86.8

Cell and atoms:
```
data_Tb2Pr4Er5
_cell_length_a 24.0544
_cell_length_b 3.5484
_cell_length_c 8.7134
_cell_angle_alpha 90.00
_cell_angle_beta 94.02
_cell_angle_gamma 90.00
_symmetry_space_group_name_H-M 'C 1 2/m 1'
_symmetry_Int_Tables_number 12
_symmetry_space_group_name_Hall '-C 2y'
loop_
_atom_site_label
_atom_site_type_symbol
_atom_site_fract_x
_atom_site_fract_y
_atom_site_fract_z
_atom_site_occupancy
Tb1 Tb 0.0880 0.0000 0.1947 1
Pr1 Pr 0.0422 0.5000 0.8397 1
Pr2 Pr 0.2256 0.0000 0.3267 1
Er1 Er 0.0000 0.0000 0.5000 1
Er2 Er 0.1292 0.5000 0.5413 1
Er3 Er 0.1868 0.5000 0.9766 1
```

2.
Calculated X-ray powder pattern
Compound: Tb5Pr12Er
Radiation: Cu Kα X-rays
Structure: a GGA-PBE-relaxed structure
Neutral-atom scattering factors, no anomalous dispersion.

Top 6 peaks for 2θ = 10–80°, in order of rising 2θ:
hkl, d [Å], two_theta, I_rel
3 1 0, 2.991, 29.87, 100.0
0 2 0, 2.594, 34.58, 34.0
3 0 3, 2.584, 34.72, 16.7
3 2 -3, 1.832, 49.77, 30.3
3 3 0, 1.564, 59.08, 29.0
6 1 3, 1.559, 59.27, 14.3

Cell and atoms:
```
data_Tb5Pr12Er
_cell_length_a 10.9747
_cell_length_b 5.1891
_cell_length_c 10.9880
_cell_angle_alpha 90.00
_cell_angle_beta 90.21
_cell_angle_gamma 90.00
_symmetry_space_group_name_H-M 'P 1 2/m 1'
_symmetry_Int_Tables_number 10
_symmetry_space_group_name_Hall '-P 2y'
loop_
_atom_site_label
_atom_site_type_symbol
_atom_site_fract_x
_atom_site_fract_y
_atom_site_fract_z
_atom_site_occupancy
Tb1 Tb 0.0000 0.0000 0.0000 1
Tb2 Tb 0.1666 0.5000 0.8334 1
Tb3 Tb 0.3337 0.0000 0.6663 1
Pr1 Pr 0.0020 0.0000 0.6683 1
Pr2 Pr 0.1650 0.5000 0.1652 1
Pr3 Pr 0.1690 0.5000 0.5019 1
Pr4 Pr 0.3315 0.0000 0.9981 1
Pr5 Pr 0.3358 0.0000 0.3357 1
Pr6 Pr 0.4980 0.5000 0.8311 1
Er1 Er 0.5000 0.5000 0.5000 1
```

3.
Calculated X-ray powder pattern
Compound: Tb2Pr2Er
Radiation: Cu Kα X-rays
Structure: a GGA-PBE-relaxed structure
Neutral-atom scattering factors, no anomalous dispersion.

Top 6 peaks for 2θ = 10–80°, in order of rising 2θ:
hkl, d [Å], two_theta, I_rel
3 1 1, 3.177, 28.09, 36.1
4 0 -2, 2.894, 30.90, 37.4
2 2 -1, 2.789, 32.09, 52.2
1 1 2, 2.783, 32.16, 100.0
1 1 -3, 2.139, 42.24, 23.9
6 2 -3, 1.649, 55.74, 31.6

Cell and atoms:
```
data_Tb2Pr2Er
_cell_length_a 15.9648
_cell_length_b 6.3655
_cell_length_c 6.8463
_cell_angle_alpha 90.00
_cell_angle_beta 104.19
_cell_angle_gamma 90.00
_symmetry_space_group_name_H-M 'C 1 2/c 1'
_symmetry_Int_Tables_number 15
_symmetry_space_group_name_Hall '-C 2yc'
loop_
_atom_site_label
_atom_site_type_symbol
_atom_site_fract_x
_atom_site_fract_y
_atom_site_fract_z
_atom_site_occupancy
Tb1 Tb 0.0969 0.0836 0.4518 1
Pr1 Pr 0.1984 0.4131 0.1523 1
Er1 Er 0.0000 0.4155 0.7500 1
```